Record 1
For Co2Pt3, the PBE geometry in OQMD gives the calculated powder XRD pattern in this record (Cu Ka).

Crystal structure
```
Co2Pt3
1.0
3.1295 1.8068 4.1719
-3.1295 1.8068 4.1719
0.0000 -3.6136 4.1719
Co Pt
4 6
direct
0.0872 0.0872 0.0872 Co
0.4128 0.4128 0.4128 Co
0.5872 0.5872 0.5872 Co
0.9128 0.9128 0.9128 Co
0.0018 0.7500 0.4982 Pt
0.2500 0.5018 0.9982 Pt
0.4982 0.0018 0.7500 Pt
0.5018 0.9982 0.2500 Pt
0.7500 0.4982 0.0018 Pt
0.9982 0.2500 0.5018 Pt
```

The 10 most intense peaks (10° ≤ 2θ ≤ 90°), by angle:
- 2θ 21.7, 4.097 Å, I 20
- 2θ 35.9, 2.503 Å, I 100
- 2θ 36.1, 2.487 Å, I 20
- 2θ 43.4, 2.086 Å, I 32
- 2θ 44.8, 2.022 Å, I 52
- 2θ 46.6, 1.947 Å, I 19
- 2θ 53.5, 1.714 Å, I 14
- 2θ 58.2, 1.585 Å, I 24
- 2θ 69.8, 1.347 Å, I 14
- 2θ 76.6, 1.243 Å, I 14


Record 2
For Y2TlNiAu, the PBE geometry in OQMD gives the calculated powder XRD pattern in this record (Cu Ka).

Crystal structure
```
Y2TlNiAu
1.0
3.7241 0.0000 0.0000
0.0000 2.0646 7.4810
0.0000 -2.0646 7.4810
Y Tl Ni Au
2 1 1 1
direct
0.0000 0.0000 0.0000 Y
0.0000 0.2633 0.2633 Y
0.5000 0.6365 0.6365 Tl
0.5000 0.8215 0.8215 Ni
0.5000 0.4295 0.4295 Au
```

The 10 most intense peaks (10° ≤ 2θ ≤ 90°), by angle:
- 2θ 22.3, 3.980 Å, I 28
- 2θ 23.9, 3.724 Å, I 24
- 2θ 32.9, 2.719 Å, I 100
- 2θ 34.0, 2.639 Å, I 58
- 2θ 37.1, 2.422 Å, I 78
- 2θ 43.9, 2.065 Å, I 26
- 2θ 44.6, 2.031 Å, I 31
- 2θ 48.9, 1.862 Å, I 19
- 2θ 56.6, 1.626 Å, I 27
- 2θ 63.0, 1.476 Å, I 27